Record 1
La3Ti3CrO12: theoretical X-ray diffraction stick pattern (Cu Kα (weighted mean of Kα1 and Kα2)), based on DFT lattice parameters and positions (PBE+U).

Structure:
Cell lengths 5.5312, 5.5315, 7.8433 Å; angles 89.97, 89.87, 89.97 degrees
Space group P1 (No. 1)
Inequivalent atoms, fractional coordinates:
1 La 0.0000 0.0000 0.0000 (multiplicity 1)
2 La 0.0100 0.9690 0.5101 (multiplicity 1)
3 La 0.4988 0.5045 0.9915 (multiplicity 1)
4 Ti 0.4950 0.9927 0.7426 (multiplicity 1)
5 Ti 0.5019 0.9943 0.2581 (multiplicity 1)
6 Ti 0.9991 0.4886 0.2664 (multiplicity 1)
7 Cr 0.9951 0.4878 0.7482 (multiplicity 1)
8 O 0.0621 0.4808 0.0003 (multiplicity 1)
9 O 0.2084 0.2066 0.2724 (multiplicity 1)
10 O 0.2201 0.2084 0.7286 (multiplicity 1)
11 O 0.2386 0.7383 0.2676 (multiplicity 1)
12 O 0.2522 0.7398 0.7308 (multiplicity 1)
13 O 0.4373 0.9861 0.0005 (multiplicity 1)
14 O 0.5596 0.9938 0.4973 (multiplicity 1)
15 O 0.7255 0.2498 0.2043 (multiplicity 1)
16 O 0.7320 0.2449 0.7931 (multiplicity 1)
17 O 0.7510 0.7543 0.2089 (multiplicity 1)
18 O 0.7601 0.7602 0.7884 (multiplicity 1)
19 O 0.9457 0.4981 0.4956 (multiplicity 1)

Principal peaks in the range 10° ≤ 2θ ≤ 90°, sorted by position:
| two_theta | d (Å) | intensity | hkl |
| --- | --- | --- | --- |
| 11.28 | 7.843 | 13 | 0 0 1 |
| 16.02 | 5.531 | 14 | 1 0 0 |
| 19.64 | 4.520 | 15 | 1 0 -1 |
| 32.34 | 2.768 | 100 | -1 1 2 |
| 39.89 | 2.260 | 19 | 0 2 2 |
| 46.30 | 1.961 | 11 | 0 0 4 |
| 46.43 | 1.956 | 24 | 2 2 0 |
| 57.61 | 1.600 | 14 | 3 1 2 |
| 57.72 | 1.597 | 26 | 3 1 -2 |
| 67.74 | 1.383 | 13 | 0 4 0 |

***

Record 2
V4O3F9: theoretical X-ray diffraction stick pattern (Cu Kα (weighted mean of Kα1 and Kα2)), based on DFT lattice parameters and positions (PBE+U).

Structure:
Cell lengths 5.2417, 5.3862, 17.5343 Å; angles 89.89, 82.17, 61.39 degrees
Space group P1 (No. 1)
Inequivalent atoms, fractional coordinates:
1 V 0.0000 0.0000 0.0000 (multiplicity 1)
2 V 0.0095 0.4765 0.4988 (multiplicity 1)
3 V 0.2353 0.3549 0.1240 (multiplicity 1)
4 V 0.2463 0.8365 0.6190 (multiplicity 1)
5 V 0.4680 0.7133 0.2478 (multiplicity 1)
6 V 0.5144 0.2322 0.7533 (multiplicity 1)
7 V 0.7083 0.1166 0.3767 (multiplicity 1)
8 V 0.7397 0.6261 0.8674 (multiplicity 1)
9 O 0.1408 0.1765 0.0412 (multiplicity 1)
10 O 0.1649 0.6859 0.5473 (multiplicity 1)
11 O 0.3335 0.5289 0.2076 (multiplicity 1)
12 O 0.3520 0.3024 0.4164 (multiplicity 1)
13 O 0.6581 0.4144 0.7924 (multiplicity 1)
14 O 0.6988 0.8955 0.8111 (multiplicity 1)
15 F 0.1500 0.8975 0.3358 (multiplicity 1)
16 F 0.1642 0.3828 0.8351 (multiplicity 1)
17 F 0.2007 0.6590 0.0582 (multiplicity 1)
18 F 0.2202 0.1586 0.5624 (multiplicity 1)
19 F 0.2664 0.0502 0.1899 (multiplicity 1)
20 F 0.2812 0.5402 0.6895 (multiplicity 1)
21 F 0.3176 0.8113 0.9121 (multiplicity 1)
22 F 0.3270 0.0230 0.7055 (multiplicity 1)
23 F 0.6538 0.1335 0.0824 (multiplicity 1)
24 F 0.6558 0.9343 0.2885 (multiplicity 1)
25 F 0.6674 0.6373 0.5856 (multiplicity 1)
26 F 0.7107 0.4165 0.3125 (multiplicity 1)
27 F 0.7733 0.3036 0.9351 (multiplicity 1)
28 F 0.7822 0.7789 0.4342 (multiplicity 1)
29 F 0.8163 0.5744 0.1654 (multiplicity 1)
30 F 0.8235 0.7744 0.9576 (multiplicity 1)
31 F 0.8251 0.0624 0.6642 (multiplicity 1)
32 F 0.8429 0.2534 0.4596 (multiplicity 1)

Principal peaks in the range 10° ≤ 2θ ≤ 90°, sorted by position:
| two_theta | d (Å) | intensity | hkl |
| --- | --- | --- | --- |
| 23.46 | 3.792 | 100 | 1 0 -2 |
| 23.85 | 3.730 | 51 | 1 1 3 |
| 33.04 | 2.711 | 6 | 1 -1 1 |
| 33.18 | 2.700 | 7 | 0 1 5 |
| 33.30 | 2.691 | 6 | 1 2 0 |
| 39.63 | 2.274 | 8 | 1 -1 5 |
| 47.99 | 1.896 | 22 | 2 0 -4 |
| 48.83 | 1.865 | 10 | 2 2 6 |
| 53.56 | 1.711 | 17 | -2 1 1 |
| 54.61 | 1.681 | 7 | 1 2 -8 |

***

Record 3
Ba6Nd2Fe4O15: theoretical X-ray diffraction stick pattern (Cu Kα (weighted mean of Kα1 and Kα2)), based on DFT lattice parameters and positions (PBE+U).

Structure:
Cell lengths 12.0301, 20.6388, 7.1730 Å; angles 90.00, 90.32, 90.00 degrees
Space group Cc (No. 9)
Inequivalent atoms, fractional coordinates:
1 Ba 0.0000 0.0006 0.0000 (multiplicity 4)
2 Ba 0.9997 0.3337 0.0254 (multiplicity 4)
3 Ba 0.0033 0.1746 0.3406 (multiplicity 4)
4 Ba 0.2171 0.2620 0.6747 (multiplicity 4)
5 Ba 0.2408 0.4122 0.3410 (multiplicity 4)
6 Ba 0.2614 0.0869 0.8423 (multiplicity 4)
7 Nd 0.0011 0.4794 0.6663 (multiplicity 4)
8 Nd 0.2833 0.2394 0.1727 (multiplicity 4)
9 Fe 0.0022 0.3354 0.4785 (multiplicity 4)
10 Fe 0.0033 0.1789 0.8386 (multiplicity 4)
11 Fe 0.2302 0.4117 0.8471 (multiplicity 4)
12 Fe 0.2708 0.0865 0.3334 (multiplicity 4)
13 O 0.0010 0.4187 0.3328 (multiplicity 4)
14 O 0.0084 0.0967 0.7311 (multiplicity 4)
15 O 0.1208 0.3825 0.6650 (multiplicity 4)
16 O 0.1218 0.2948 0.3260 (multiplicity 4)
17 O 0.1293 0.1948 0.9972 (multiplicity 4)
18 O 0.1341 0.4689 0.9775 (multiplicity 4)
19 O 0.1478 0.0439 0.2340 (multiplicity 4)
20 O 0.2317 0.1644 0.4495 (multiplicity 4)
21 O 0.2697 0.3391 0.9981 (multiplicity 4)
22 O 0.3534 0.4511 0.7375 (multiplicity 4)
23 O 0.3678 0.0308 0.4715 (multiplicity 4)
24 O 0.3677 0.3044 0.4554 (multiplicity 4)
25 O 0.3772 0.1209 0.1584 (multiplicity 4)
26 O 0.3798 0.2046 0.8443 (multiplicity 4)
27 O 0.4912 0.2492 0.1634 (multiplicity 4)

Principal peaks in the range 10° ≤ 2θ ≤ 90°, sorted by position:
| two_theta | d (Å) | intensity | hkl |
| --- | --- | --- | --- |
| 25.92 | 3.437 | 16 | 1 5 -1 |
| 28.97 | 3.082 | 22 | 2 0 -2 |
| 29.07 | 3.072 | 21 | 2 0 2 |
| 29.71 | 3.007 | 51 | 4 0 0 |
| 29.92 | 2.986 | 100 | 2 6 0 |
| 30.21 | 2.958 | 23 | 2 2 -2 |
| 30.35 | 2.945 | 45 | 2 2 2 |
| 36.16 | 2.484 | 32 | 0 6 2 |
| 52.87 | 1.732 | 17 | 6 6 0 |
| 53.25 | 1.720 | 16 | 0 12 0 |